Record 1
The following is a computed PXRD pattern of EuSi3Ir. It was derived from a structure optimized by DFT (GGA-PBE), using copper Kα.
Intensities are scaled so that the largest is 100.

Main lines, by angle (10 to 90 degrees two-theta):
| d (Å) | Position (°2θ) | Rel. int. |
| --- | --- | --- |
| 4.959 | 17.9 | 23 |
| 3.898 | 22.8 | 49 |
| 2.998 | 29.8 | 62 |
| 2.607 | 34.4 | 100 |
| 2.565 | 35.0 | 43 |
| 2.120 | 42.7 | 44 |
| 1.797 | 50.8 | 19 |
| 1.645 | 55.9 | 50 |
| 1.447 | 64.4 | 17 |
| 1.371 | 68.5 | 16 |

Crystal structure
```
5
Lattice="-2.1196 2.1196 4.9589 2.1196 -2.1196 4.9589 2.1196 2.1196 -4.9589" Properties=species:S:1:pos:R:3 pbc="T T T"
Eu 0.0000 0.0000 0.0000
Si 2.1196 0.0000 2.6099
Si 0.0000 0.0000 4.1071
Si 0.0000 2.1196 2.6099
Ir 0.0000 0.0000 6.4780
```

***

Record 2
The following is a computed PXRD pattern of EuThIr2. It was derived from a structure optimized by DFT (GGA-PBE), using copper Kα.
Intensities are scaled so that the largest is 100.

Main lines, by angle (10 to 90 degrees two-theta):
| d (Å) | Position (°2θ) | Rel. int. |
| --- | --- | --- |
| 6.945 | 12.7 | 11 |
| 2.562 | 35.0 | 57 |
| 2.507 | 35.8 | 100 |
| 1.951 | 46.6 | 7 |
| 1.811 | 50.4 | 21 |
| 1.468 | 63.3 | 39 |
| 1.437 | 64.9 | 15 |
| 1.253 | 75.9 | 9 |
| 1.146 | 84.6 | 10 |
| 1.141 | 85.1 | 9 |

Crystal structure
```
4
Lattice="3.6226 0.0000 0.0000 0.0000 3.6226 0.0000 0.0000 0.0000 6.9451" Properties=species:S:1:pos:R:3 pbc="T T T"
Eu 0.0000 0.0000 0.0000
Th 0.0000 0.0000 3.4726
Ir 1.8113 1.8113 1.9459
Ir 1.8113 1.8113 4.9992
```

***

Record 3
The following is a computed PXRD pattern of KEu6. It was derived from a structure optimized by DFT (GGA-PBE), using copper Kα.
Intensities are scaled so that the largest is 100.

Main lines, by angle (10 to 90 degrees two-theta):
| d (Å) | Position (°2θ) | Rel. int. |
| --- | --- | --- |
| 6.863 | 12.9 | 98 |
| 4.853 | 18.3 | 40 |
| 3.962 | 22.4 | 100 |
| 3.069 | 29.1 | 30 |
| 2.802 | 31.9 | 88 |
| 2.594 | 34.6 | 67 |
| 2.427 | 37.0 | 53 |
| 1.904 | 47.8 | 24 |
| 1.716 | 53.4 | 36 |
| 1.463 | 63.6 | 37 |

Crystal structure
```
7
Lattice="-4.8530 4.8530 4.8530 4.8530 -4.8530 4.8530 4.8530 4.8530 -4.8530" Properties=species:S:1:pos:R:3 pbc="T T T"
K 0.0000 0.0000 0.0000
Eu 4.8530 2.4265 0.0000
Eu 4.8530 0.0000 2.4265
Eu 2.4265 4.8530 0.0000
Eu 2.4265 0.0000 4.8530
Eu 0.0000 4.8530 2.4265
Eu 0.0000 2.4265 4.8530
```

***

Record 4
The following is a computed PXRD pattern of K2Na2Eu4Ta2O13. It was derived from a structure optimized by DFT (GGA-PBE), using copper Kα.
Intensities are scaled so that the largest is 100.

Main lines, by angle (10 to 90 degrees two-theta):
| d (Å) | Position (°2θ) | Rel. int. |
| --- | --- | --- |
| 5.009 | 17.7 | 27 |
| 4.508 | 19.7 | 27 |
| 3.551 | 25.1 | 25 |
| 3.513 | 25.4 | 21 |
| 2.987 | 29.9 | 100 |
| 2.949 | 30.3 | 94 |
| 2.866 | 31.2 | 32 |
| 2.843 | 31.5 | 37 |
| 2.018 | 44.9 | 43 |
| 1.675 | 54.8 | 30 |

Crystal structure
```
46
Lattice="12.2442 -2.8661 0.0000 12.2442 2.8661 0.0000 -5.0993 0.0000 10.1650" Properties=species:S:1:pos:R:3 pbc="T T T"
K 5.4386 0.2579 1.3453
K 2.8889 -0.2579 6.4277
K 16.5002 0.2579 3.7372
K 13.9505 -0.2579 8.8197
Na 5.9382 0.1966 4.8402
Na 3.3885 -0.1966 9.9226
Na 16.0006 0.1966 0.2423
Na 13.4509 -0.1966 5.3248
Eu -3.2976 0.2303 9.6316
Eu -0.7479 -0.2303 4.5492
Eu 9.0539 0.1854 3.3011
Eu 6.5042 -0.1854 8.3836
Eu 12.8849 0.1854 1.7814
Eu 10.3352 -0.1854 6.8638
Eu 20.1370 0.2303 5.6158
Eu 22.6867 -0.2303 0.5333
Ta 2.2561 0.1764 2.8540
Ta -0.2936 -0.1764 7.9365
Ta 19.6827 0.1764 2.2284
Ta 17.1331 -0.1764 7.3109
O 7.2052 1.7736 3.6868
O 8.3385 1.5652 1.2752
O 6.3779 1.5558 6.6907
O 4.6428 1.2975 8.7121
O 3.8455 0.3230 3.8121
O 9.5712 1.4283 5.2908
O 7.2683 1.4283 9.9567
O 10.9694 1.3813 2.5412
O 1.2958 -0.3230 8.8945
O 14.7336 1.7736 1.3957
O 10.4615 1.5558 8.5567
O 13.6003 1.5652 3.8073
O 12.1966 1.2975 6.5354
O 7.1925 -1.2975 3.6296
O 5.7888 -1.5652 6.3577
O 8.9276 -1.5558 1.6082
O 4.6555 -1.7736 8.7693
O 18.0933 0.3230 1.2704
O 8.4197 -1.3813 7.6237
O 12.1208 -1.4283 0.2083
O 9.8179 -1.4283 4.8742
O 15.5436 -0.3230 6.3529
O 14.7463 -1.2975 1.4529
O 13.0112 -1.5558 3.4742
O 11.0507 -1.5652 8.8898
O 12.1839 -1.7736 6.4782
```

***

Record 5
The following is a computed PXRD pattern of K3EuP2O8. It was derived from a structure optimized by DFT (GGA-PBE), using copper Kα.
Intensities are scaled so that the largest is 100.

Main lines, by angle (10 to 90 degrees two-theta):
| d (Å) | Position (°2θ) | Rel. int. |
| --- | --- | --- |
| 7.552 | 11.7 | 100 |
| 4.944 | 17.9 | 40 |
| 4.116 | 21.6 | 77 |
| 3.011 | 29.7 | 81 |
| 2.987 | 29.9 | 83 |
| 2.948 | 30.3 | 20 |
| 2.875 | 31.1 | 64 |
| 2.814 | 31.8 | 76 |
| 2.078 | 43.6 | 21 |
| 2.058 | 44.0 | 38 |

Crystal structure
```
28
Lattice="7.5531 0.0000 0.0000 0.0000 5.7508 0.0000 -0.1908 0.0000 9.6820" Properties=species:S:1:pos:R:3 pbc="T T T"
K 0.0050 1.4377 1.8739
K 1.0027 4.3131 3.9889
K 2.0914 1.4377 8.8632
K 5.2710 4.3131 0.8189
K 6.3596 1.4377 5.6932
K 7.3574 4.3131 7.8081
Eu 3.5960 4.3131 6.8692
Eu 3.7664 1.4377 2.8129
P 1.9900 4.3131 0.8511
P 2.2164 1.4377 5.5416
P 5.1460 4.3131 4.1404
P 5.3723 1.4377 8.8310
O 0.4536 4.3131 0.9890
O 1.5303 1.4377 4.1382
O 1.8006 0.1679 6.3473
O 1.8006 2.7075 6.3473
O 2.2297 4.3131 9.0340
O 2.5710 3.0364 1.5395
O 2.5710 5.5898 1.5395
O 3.6149 4.3131 4.3910
O 3.7475 1.4377 5.2911
O 4.7914 0.1610 8.1425
O 4.7914 2.7144 8.1425
O 5.1326 1.4377 0.6480
O 5.5617 3.0433 3.3348
O 5.5617 5.5829 3.3348
O 5.8321 4.3131 5.5439
O 6.9087 1.4377 8.6930
```

***

Record 6
The following is a computed PXRD pattern of KSrEuSeO6. It was derived from a structure optimized by DFT (GGA-PBE), using copper Kα.
Intensities are scaled so that the largest is 100.

Main lines, by angle (10 to 90 degrees two-theta):
| d (Å) | Position (°2θ) | Rel. int. |
| --- | --- | --- |
| 4.753 | 18.7 | 10 |
| 4.117 | 21.6 | 21 |
| 2.911 | 30.7 | 100 |
| 2.482 | 36.2 | 10 |
| 2.058 | 44.0 | 33 |
| 1.841 | 49.5 | 8 |
| 1.681 | 54.6 | 38 |
| 1.455 | 64.0 | 20 |
| 1.302 | 72.6 | 18 |
| 1.100 | 89.0 | 22 |

Crystal structure
```
10
Lattice="0.0000 4.1166 4.1166 4.1166 0.0000 4.1166 4.1166 4.1166 0.0000" Properties=species:S:1:pos:R:3 pbc="T T T"
K 0.0000 0.0000 0.0000
Sr 4.1166 4.1166 4.1166
Eu 6.1750 6.1750 6.1750
Se 2.0583 2.0583 2.0583
O 2.0583 2.0583 0.2282
O 2.0583 0.2282 2.0583
O 3.8885 2.0583 2.0583
O 0.2282 2.0583 2.0583
O 2.0583 3.8885 2.0583
O 2.0583 2.0583 3.8885
```